This entry pairs a crystal structure of Li7Mn17O32 with its simulated PXRD pattern. Radiation: Cu Ka. Structure: a PBE+U-relaxed structure.
Neutral-atom scattering factors, no anomalous dispersion.

Cell and atoms:
```
Li7Mn17O32
1.0
5.800 -8.198 0.000
5.800 8.198 0.000
-5.786 0.000 5.806
Li Mn O
7 17 32
Direct
0.000 0.000 0.000
0.124 0.374 0.500
0.375 0.127 0.001
0.500 0.500 0.000
0.626 0.876 0.500
0.750 0.250 0.500
0.873 0.625 0.999
0.061 0.687 0.753
0.062 0.188 0.750
0.186 0.065 0.500
0.187 0.562 0.996
0.250 0.750 0.500
0.313 0.939 0.247
0.314 0.435 0.249
0.437 0.313 0.500
0.438 0.813 0.004
0.565 0.192 0.753
0.565 0.686 0.751
0.687 0.563 0.500
0.691 0.066 0.004
0.808 0.435 0.247
0.812 0.938 0.250
0.934 0.309 0.996
0.935 0.814 0.500
0.042 0.681 0.499
0.055 0.168 0.499
0.069 0.208 0.000
0.083 0.695 0.002
0.167 0.056 0.723
0.180 0.543 0.224
0.194 0.583 0.776
0.208 0.070 0.277
0.292 0.430 0.999
0.305 0.917 0.998
0.319 0.958 0.501
0.333 0.445 0.501
0.417 0.806 0.224
0.430 0.293 0.723
0.445 0.332 0.277
0.457 0.820 0.776
0.542 0.181 0.499
0.555 0.667 0.499
0.570 0.708 0.001
0.581 0.194 0.999
0.668 0.555 0.723
0.681 0.043 0.224
0.693 0.082 0.776
0.707 0.570 0.277
0.792 0.931 0.000
0.806 0.419 0.001
0.819 0.458 0.501
0.832 0.945 0.501
0.918 0.307 0.224
0.930 0.792 0.723
0.944 0.833 0.277
0.957 0.319 0.776
```

Main lines, most intense first (15 to 90 degrees two-theta):
18.73 deg, intensity 100
36.32 deg, intensity 62
44.19 deg, intensity 39
64.20 deg, intensity 27
44.09 deg, intensity 19
58.50 deg, intensity 17
64.28 deg, intensity 13
37.99 deg, intensity 12
58.38 deg, intensity 9
48.36 deg, intensity 9